(1)
Starting from DFT lattice parameters and positions (GGA-PBE), the powder XRD pattern of CeP3Ir3 was simulated for Cu Kα X-rays.
Lines closer than 0.1° are merged.

Most intense lines, 2θ from 10° to 90°, by intensity:
| hkl | d/Å | Position (°2θ) | I (rel.) |
| --- | --- | --- | --- |
| 2 1 1 | 2.641 | 33.95 | 100 |
| 2 1 0 | 2.893 | 30.91 | 98 |
| 3 2 1 | 1.729 | 52.96 | 56 |
| 2 0 0 | 3.234 | 27.58 | 43 |
| 4 0 0 | 1.617 | 56.94 | 28 |
| 3 2 0 | 1.794 | 50.90 | 26 |

Cell and atoms:
a b c (Å): 6.4689 6.4689 6.4689
angles (deg): 90.00 90.00 90.00
Space group Pm-3n (No. 223)
Unique sites:
Ce (0.0000, 0.0000, 0.0000) [2 per cell]
P (0.0000, 0.2500, 0.5000) [6 per cell]
Ir (0.0000, 0.5000, 0.2500) [6 per cell]

---

(2)
Starting from DFT lattice parameters and positions (GGA-PBE), the powder XRD pattern of Ce2P4Ir3 was simulated for Cu Kα X-rays.
Lines closer than 0.1° are merged.

Most intense lines, 2θ from 10° to 90°, by intensity:
| hkl | d/Å | Position (°2θ) | I (rel.) |
| --- | --- | --- | --- |
| 0 0 2 | 5.893 | 15.03 | 100 |
| 2 2 0 | 2.404 | 37.41 | 68 |
| 1 1 3 | 3.042 | 29.36 | 60 |
| 1 3 3 | 2.287 | 39.40 | 59 |
| 2 2 2 | 2.226 | 40.52 | 47 |
| 0 4 0 | 2.451 | 36.66 | 34 |

Cell and atoms:
a b c (Å): 5.5173 9.8060 11.7859
angles (deg): 90.00 90.00 90.00
Space group Fmmm (No. 69)
Unique sites:
Ce (0.0000, 0.0000, 0.1447) [8 per cell]
P (0.0000, 0.1618, 0.3453) [16 per cell]
Ir (0.0000, 0.0000, 0.5000) [4 per cell]
Ir (0.2500, 0.2500, 0.0000) [8 per cell]

---

(3)
Starting from DFT lattice parameters and positions (GGA-PBE), the powder XRD pattern of Ce2TcP4Ir3 was simulated for Cu Kα X-rays.
Lines closer than 0.1° are merged.

Most intense lines, 2θ from 10° to 90°, by intensity:
| hkl | d/Å | Position (°2θ) | I (rel.) |
| --- | --- | --- | --- |
| 1 0 3 | 2.514 | 35.72 | 100 |
| 2 0 0 | 2.107 | 42.93 | 46 |
| 1 1 1 | 2.840 | 31.50 | 44 |
| 0 0 3 | 3.134 | 28.48 | 32 |
| 2 1 3 | 1.614 | 57.05 | 29 |
| 3 0 3 | 1.282 | 73.96 | 17 |

Cell and atoms:
a b c (Å): 4.2133 4.2133 9.3893
angles (deg): 90.00 90.00 90.00
Space group P-4m2 (No. 115)
Unique sites:
Ce (0.0000, 0.5000, 0.2420) [2 per cell]
Tc (0.0000, 0.0000, 0.5000) [1 per cell]
P (0.0000, 0.0000, 0.0000) [1 per cell]
P (0.0000, 0.5000, 0.6301) [2 per cell]
P (0.5000, 0.5000, 0.0000) [1 per cell]
Ir (0.0000, 0.5000, 0.8864) [2 per cell]
Ir (0.5000, 0.5000, 0.5000) [1 per cell]

---

(4)
Starting from DFT lattice parameters and positions (GGA-PBE), the powder XRD pattern of Ce3ZnP2Ir9 was simulated for Cu Kα X-rays.
Lines closer than 0.1° are merged.

Most intense lines, 2θ from 10° to 90°, by intensity:
| hkl | d/Å | Position (°2θ) | I (rel.) |
| --- | --- | --- | --- |
| 0 2 1 | 2.767 | 32.35 | 100 |
| 2 0 2 | 2.233 | 40.38 | 66 |
| 2 2 0 | 1.763 | 51.87 | 30 |
| 2 2 3 | 1.372 | 68.40 | 16 |
| 0 2 4 | 1.443 | 64.57 | 15 |
| 0 0 3 | 2.184 | 41.34 | 15 |

Cell and atoms:
a b c (Å): 7.0506 7.0506 6.5517
angles (deg): 90.00 90.00 120.00
Space group P-3m1 (No. 164)
Unique sites:
Ce (0.0000, 0.0000, 0.0000) [1 per cell]
Ce (0.3333, 0.6667, 0.6899) [2 per cell]
Zn (0.0000, 0.0000, 0.5000) [1 per cell]
P (0.3333, 0.6667, 0.1485) [2 per cell]
Ir (0.0000, 0.5000, 0.0000) [3 per cell]
Ir (0.1889, 0.3779, 0.3680) [6 per cell]

---

(5)
Starting from DFT lattice parameters and positions (GGA-PBE), the powder XRD pattern of Ce3IrPb was simulated for Cu Kα X-rays.
Lines closer than 0.1° are merged.

Most intense lines, 2θ from 10° to 90°, by intensity:
| hkl | d/Å | Position (°2θ) | I (rel.) |
| --- | --- | --- | --- |
| 1 3 1 | 2.753 | 32.52 | 100 |
| 0 0 2 | 2.364 | 38.06 | 33 |
| 1 7 0 | 2.817 | 31.76 | 25 |
| 0 8 1 | 3.061 | 29.18 | 20 |
| 1 9 1 | 2.227 | 40.51 | 19 |
| 0 10 1 | 2.657 | 33.73 | 18 |

Cell and atoms:
a b c (Å): 3.5694 32.1232 4.7284
angles (deg): 90.00 90.00 90.00
Space group Cmcm (No. 63)
Unique sites:
Ce (0.0000, 0.0252, 0.2500) [4 per cell]
Ce (0.0000, 0.1297, 0.2500) [4 per cell]
Ce (0.0000, 0.2129, 0.7500) [4 per cell]
Ir (0.0000, 0.3011, 0.7500) [4 per cell]
Pb (0.0000, 0.4256, 0.2500) [4 per cell]

---

(6)
Starting from DFT lattice parameters and positions (GGA-PBE), the powder XRD pattern of Ce2ZnIrPb was simulated for Cu Kα X-rays.
Lines closer than 0.1° are merged.

Most intense lines, 2θ from 10° to 90°, by intensity:
| hkl | d/Å | Position (°2θ) | I (rel.) |
| --- | --- | --- | --- |
| 0 1 2 | 2.846 | 31.44 | 100 |
| 2 1 1 | 2.427 | 37.04 | 85 |
| 2 1 -2 | 2.538 | 35.37 | 83 |
| 0 2 0 | 2.175 | 41.52 | 70 |
| 2 0 -1 | 3.728 | 23.87 | 41 |
| 3 1 -1 | 2.185 | 41.32 | 41 |

Cell and atoms:
a b c (Å): 7.5807 4.3506 7.9019
angles (deg): 90.00 107.79 90.00
Space group P2_1/m (No. 11)
Unique sites:
Ce (0.1194, 0.2500, 0.3293) [2 per cell]
Ce (0.2934, 0.2500, 0.9712) [2 per cell]
Zn (0.4414, 0.7500, 0.3255) [2 per cell]
Ir (0.1204, 0.7500, 0.0916) [2 per cell]
Pb (0.3165, 0.7500, 0.6553) [2 per cell]